This entry pairs a crystal structure of MnV2O5 with its calculated powder XRD pattern. Radiation: Cu Kα. Structure: a cell relaxed with PBE+U.
Lines closer than 0.1° are merged.

The 10 most intense peaks (2θ from 5° to 70°), by angle:
two_theta	I (rel.)
18.2	42.0
24.9	100.0
31.9	73.4
36.2	25.7
36.3	32.2
45.7	22.8
47.2	34.4
55.8	16.2
58.2	22.8
59.6	22.3

Atomic structure:
abc: 5.241 5.241 10.269
angles: 90.00 90.00 136.92
Element x y z (fractional)
Mn1 0.187 0.813 0.750
Mn2 0.813 0.187 0.250
V1 0.139 0.861 0.068
V2 0.139 0.861 0.432
V3 0.861 0.139 0.568
V4 0.861 0.139 0.932
O1 0.036 0.964 0.611
O2 0.036 0.964 0.889
O3 0.217 0.783 0.250
O4 0.305 0.695 0.558
O5 0.305 0.695 0.942
O6 0.695 0.305 0.058
O7 0.695 0.305 0.442
O8 0.783 0.217 0.750
O9 0.964 0.036 0.111
O10 0.964 0.036 0.389